Record 1
This entry pairs a crystal structure of NaTl2In with its simulated XRD peak list. Radiation: a wavelength of 1.5418 Å. Structure: DFT lattice parameters and positions (GGA-PBE).

Crystal structure
```
data_NaTl2In
_chemical_formula_sum 'Na4 Tl8 In4'
_space_group_name_H-M_alt 'F m -3 m'
_space_group_IT_number 225
_space_group_name_Hall '-F 4 2 3'
_cell_length_a 7.649
_cell_length_b 7.649
_cell_length_c 7.649
_cell_angle_alpha 90.00
_cell_angle_beta 90.00
_cell_angle_gamma 90.00
loop_
_atom_site_label
_atom_site_fract_x
_atom_site_fract_y
_atom_site_fract_z
Na1 0.000 0.000 0.000
Tl1 0.250 0.250 0.250
In1 0.000 0.000 0.500
```

The 10 most intense peaks (5 to 70 degrees two-theta), low angle first:
(1 1 1), 2θ = 20.1°, intensity 7; (2 0 0), 2θ = 23.3°, intensity 27; (2 2 0), 2θ = 33.1°, intensity 100; (3 1 1), 2θ = 39.1°, intensity 4; (2 2 2), 2θ = 40.9°, intensity 9; (4 0 0), 2θ = 47.5°, intensity 18; (3 3 1), 2θ = 52.1°, intensity 2; (4 2 0), 2θ = 53.6°, intensity 12; (4 2 2), 2θ = 59.2°, intensity 38; (4 4 0), 2θ = 69.5°, intensity 12

Record 2
This entry pairs a crystal structure of MgTi2S4 with its simulated XRD peak list. Radiation: a wavelength of 1.5418 Å. Structure: DFT lattice parameters and positions (GGA-PBE).

Crystal structure
```
data_MgTi2S4
_chemical_formula_sum 'Mg1 Ti2 S4'
_space_group_name_H-M_alt 'P 1'
_space_group_IT_number 1
_cell_length_a 3.585
_cell_length_b 3.585
_cell_length_c 19.081
_cell_angle_alpha 84.81
_cell_angle_beta 89.54
_cell_angle_gamma 60.02
loop_
_space_group_symop_operation_xyz
'x,y,z'
loop_
_atom_site_label
_atom_site_fract_x
_atom_site_fract_y
_atom_site_fract_z
Mg1 0.000 0.000 0.000
Ti1 0.291 0.433 0.837
Ti2 0.384 0.201 0.202
S1 0.030 0.916 0.124
S2 0.648 0.709 0.931
S3 0.735 0.494 0.269
S4 0.941 0.138 0.775
```

The 10 most intense peaks (5 to 70 degrees two-theta), low angle first:
(0 0 2), 2θ = 9.3°, intensity 100; (0 0 3), 2θ = 14.0°, intensity 46; (1 1 3), 2θ = 31.4°, intensity 50; (1 0 -3), 2θ = 31.6°, intensity 27; (1 1 4), 2θ = 33.6°, intensity 13; (0 1 -5), 2θ = 39.4°, intensity 17; (1 1 6), 2θ = 39.5°, intensity 16; (1 0 -6), 2θ = 39.8°, intensity 16; (1 2 1), 2θ = 50.9°, intensity 32; (2 1 1), 2θ = 51.2°, intensity 12

Record 3
This entry pairs a crystal structure of Tl3GeTe3 with its simulated XRD peak list. Radiation: a wavelength of 1.5418 Å. Structure: DFT lattice parameters and positions (GGA-PBE).

Crystal structure
```
data_Tl3GeTe3
_chemical_formula_sum 'Tl12 Ge4 Te12'
_space_group_name_H-M_alt 'P -1'
_space_group_IT_number 2
_cell_length_a 9.843
_cell_length_b 10.007
_cell_length_c 10.731
_cell_angle_alpha 89.60
_cell_angle_beta 82.84
_cell_angle_gamma 79.15
loop_
_space_group_symop_operation_xyz
'x,y,z'
'-x,-y,-z'
loop_
_atom_site_label
_atom_site_fract_x
_atom_site_fract_y
_atom_site_fract_z
Tl1 0.011 0.369 0.349
Tl2 0.144 0.228 0.911
Tl3 0.191 0.716 0.241
Tl4 0.315 0.836 0.837
Tl5 0.378 0.048 0.348
Tl6 0.402 0.427 0.660
Ge1 0.076 0.985 0.586
Ge2 0.409 0.428 0.017
Te1 0.076 0.064 0.208
Te2 0.171 0.214 0.591
Te3 0.187 0.558 0.924
Te4 0.281 0.777 0.529
Te5 0.371 0.385 0.258
Te6 0.496 0.202 0.888
```

The 10 most intense peaks (5 to 70 degrees two-theta), low angle first:
(1 0 3), 2θ = 25.7°, intensity 35; (0 1 -3), 2θ = 26.6°, intensity 33; (1 0 -3), 2θ = 27.9°, intensity 74; (2 -2 0), 2θ = 28.4°, intensity 50; (1 3 -1), 2θ = 28.6°, intensity 60; (0 3 1), 2θ = 28.6°, intensity 56; (-2 1 2), 2θ = 29.3°, intensity 100; (3 1 -1), 2θ = 29.9°, intensity 66; (2 3 0), 2θ = 30.0°, intensity 47; (1 -2 3), 2θ = 32.3°, intensity 47

Record 4
This entry pairs a crystal structure of LiPb with its simulated XRD peak list. Radiation: a wavelength of 1.5418 Å. Structure: DFT lattice parameters and positions (GGA-PBE).

Crystal structure
```
data_LiPb
_chemical_formula_sum 'Li1 Pb1'
_space_group_name_H-M_alt 'P m -3 m'
_space_group_IT_number 221
_space_group_name_Hall '-P 4 2 3'
_cell_length_a 3.568
_cell_length_b 3.568
_cell_length_c 3.568
_cell_angle_alpha 90.00
_cell_angle_beta 90.00
_cell_angle_gamma 90.00
loop_
_atom_site_label
_atom_site_fract_x
_atom_site_fract_y
_atom_site_fract_z
Li1 0.000 0.000 0.000
Pb1 0.500 0.500 0.500
```

The 6 most intense peaks (5 to 70 degrees two-theta), low angle first:
(1 0 0), 2θ = 25.0°, intensity 100; (1 1 0), 2θ = 35.6°, intensity 91; (1 1 1), 2θ = 44.0°, intensity 31; (2 0 0), 2θ = 51.2°, intensity 16; (2 1 0), 2θ = 57.8°, intensity 42; (2 1 1), 2θ = 63.9°, intensity 34

Record 5
This entry pairs a crystal structure of Dy2Be2GeO7 with its simulated XRD peak list. Radiation: a wavelength of 1.5418 Å. Structure: DFT lattice parameters and positions (GGA-PBE).

Crystal structure
```
data_Dy2Be2GeO7
_chemical_formula_sum 'Dy4 Be4 Ge2 O14'
_space_group_name_H-M_alt 'P -4 21 m'
_space_group_IT_number 113
_cell_length_a 7.448
_cell_length_b 7.448
_cell_length_c 4.825
_cell_angle_alpha 90.00
_cell_angle_beta 90.00
_cell_angle_gamma 90.00
loop_
_space_group_symop_operation_xyz
'x,y,z'
'y,-x,-z'
'-x,-y,z'
'-y,x,-z'
'x+1/2,-y+1/2,-z'
'y+1/2,x+1/2,z'
'-x+1/2,y+1/2,-z'
'-y+1/2,-x+1/2,z'
loop_
_atom_site_label
_atom_site_fract_x
_atom_site_fract_y
_atom_site_fract_z
Dy1 0.158 0.342 0.006
Be1 0.135 0.635 0.548
Ge1 0.000 0.000 0.500
O1 0.000 0.500 0.687
O2 0.082 0.829 0.717
O3 0.142 0.642 0.218
```

The 10 most intense peaks (5 to 70 degrees two-theta), low angle first:
(0 0 1), 2θ = 18.4°, intensity 37; (1 1 1), 2θ = 25.0°, intensity 44; (2 1 0), 2θ = 26.8°, intensity 51; (2 0 1), 2θ = 30.3°, intensity 43; (2 1 1), 2θ = 32.7°, intensity 100; (3 1 0), 2θ = 38.2°, intensity 27; (2 1 2), 2θ = 46.5°, intensity 43; (4 0 1), 2θ = 52.7°, intensity 17; (3 1 2), 2θ = 54.4°, intensity 27; (3 3 1), 2θ = 55.7°, intensity 25

Record 6
This entry pairs a crystal structure of SrCa2Fe6As6 with its simulated XRD peak list. Radiation: a wavelength of 1.5418 Å. Structure: DFT lattice parameters and positions (GGA-PBE).

Crystal structure
```
data_SrCa2Fe6As6
_chemical_formula_sum 'Sr2 Ca4 Fe12 As12'
_space_group_name_H-M_alt 'C 1 2/m 1'
_space_group_IT_number 12
_cell_length_a 15.623
_cell_length_b 5.653
_cell_length_c 6.060
_cell_angle_alpha 90.00
_cell_angle_beta 105.84
_cell_angle_gamma 90.00
loop_
_space_group_symop_operation_xyz
'x,y,z'
'-x,-y,-z'
'-x,y,-z'
'x,-y,z'
'x+1/2,y+1/2,z'
'-x+1/2,-y+1/2,-z'
'-x+1/2,y+1/2,-z'
'x+1/2,-y+1/2,z'
loop_
_atom_site_label
_atom_site_fract_x
_atom_site_fract_y
_atom_site_fract_z
Sr1 0.000 0.000 0.000
Ca1 0.167 0.500 0.336
Fe1 0.000 0.250 0.500
Fe2 0.168 0.251 0.834
As1 0.048 0.500 0.811
As2 0.120 0.000 0.523
As3 0.214 0.000 0.148
```

The 10 most intense peaks (5 to 70 degrees two-theta), low angle first:
(2 0 -1), 2θ = 16.5°, intensity 34; (4 0 1), 2θ = 31.7°, intensity 14; (1 1 -2), 2θ = 33.6°, intensity 100; (2 2 -1), 2θ = 35.9°, intensity 34; (4 2 1), 2θ = 45.4°, intensity 60; (4 2 -2), 2θ = 46.6°, intensity 31; (5 3 -1), 2θ = 57.6°, intensity 21; (3 1 3), 2θ = 57.7°, intensity 20; (6 2 -3), 2θ = 61.3°, intensity 15; (8 0 2), 2θ = 66.1°, intensity 19

Record 7
This entry pairs a crystal structure of NaSb5O13 with its simulated XRD peak list. Radiation: a wavelength of 1.5418 Å. Structure: DFT lattice parameters and positions (GGA-PBE).

Crystal structure
```
data_NaSb5O13
_chemical_formula_sum 'Na4 Sb20 O52'
_space_group_name_H-M_alt 'A m a 2'
_space_group_IT_number 40
_cell_length_a 16.783
_cell_length_b 9.044
_cell_length_c 6.681
_cell_angle_alpha 90.00
_cell_angle_beta 90.00
_cell_angle_gamma 90.00
loop_
_space_group_symop_operation_xyz
'x,y,z'
'-x,-y,z'
'-x+1/2,y,z'
'x+1/2,-y,z'
'x,y+1/2,z+1/2'
'-x,-y+1/2,z+1/2'
'-x+1/2,y+1/2,z+1/2'
'x+1/2,-y+1/2,z+1/2'
loop_
_atom_site_label
_atom_site_fract_x
_atom_site_fract_y
_atom_site_fract_z
Na1 0.250 0.126 0.000
Sb1 0.000 0.000 0.976
Sb2 0.080 0.385 0.975
Sb3 0.139 0.268 0.476
O1 0.000 0.000 0.286
O2 0.000 0.000 0.665
O3 0.010 0.274 0.475
O4 0.115 0.486 0.476
O5 0.136 0.269 0.177
O6 0.136 0.269 0.775
O7 0.154 0.054 0.475
O8 0.250 0.329 0.475
```

The 10 most intense peaks (5 to 70 degrees two-theta), low angle first:
(2 0 0), 2θ = 10.5°, intensity 92; (1 1 1), 2θ = 17.3°, intensity 27; (3 2 0), 2θ = 25.3°, intensity 42; (0 0 2), 2θ = 26.7°, intensity 100; (4 1 1), 2θ = 27.0°, intensity 29; (4 2 0), 2θ = 29.0°, intensity 40; (5 1 1), 2θ = 31.4°, intensity 55; (1 3 1), 2θ = 33.0°, intensity 31; (2 3 1), 2θ = 34.3°, intensity 29; (3 3 1), 2θ = 36.4°, intensity 30